Record 1
Computed powder XRD pattern
Compound: Ac6Ge2I3N
Radiation: Cu Ka
Structure: a PBE-relaxed structure
Lines closer than 0.1° are merged.

Top 12 peaks for 5 to 70 degrees two-theta, by angle:
2theta	I/Imax	index
24.51	23	1 3 -1
27.52	100	2 0 -2
29.59	28	2 0 1
32.36	16	0 0 3
34.56	12	2 0 -3
37.32	8	2 0 2
37.38	16	1 3 -3
41.19	37	3 3 -1
46.73	10	1 3 -4
50.29	11	2 6 -2
53.33	20	3 3 -4
53.60	13	2 0 -5

Structure:
a b c (Å): 7.602 13.135 8.674
angles (deg): 90.00 106.93 90.00
Space group C2/m (No. 12)
Symmetry-distinct sites (fractional):
Ac (0.214, 0.152, 0.188) [8 per cell]
Ac (0.239, 0.000, 0.808) [4 per cell]
Ge (0.000, 0.335, 0.000) [4 per cell]
I (0.000, 0.176, 0.500) [4 per cell]
I (0.000, 0.500, 0.500) [2 per cell]
N (0.000, 0.000, 0.000) [2 per cell]


Record 2
Computed powder XRD pattern
Compound: Li6SiAg2
Radiation: Cu Ka
Structure: a PBE-relaxed structure
Lines closer than 0.1° are merged.

Top 12 peaks for 5 to 70 degrees two-theta, by angle:
2theta	I/Imax	index
13.43	39	1 0 0
23.37	100	1 1 0
27.05	9	2 0 0
32.36	13	0 0 1
35.18	9	1 0 1
36.04	8	2 1 0
40.30	59	1 1 1
41.07	31	3 0 0
47.78	14	2 2 0
53.23	17	3 0 1
58.90	18	2 2 1
64.79	11	4 1 0

Structure:
a b c (Å): 7.6140 7.6140 2.7662
angles (deg): 90.00 90.00 120.00
Space group P6/mmm (No. 191)
Symmetry-distinct sites (fractional):
Li (0.0000, 0.3228, 0.0000) [6 per cell]
Si (0.0000, 0.0000, 0.5000) [1 per cell]
Ag (0.3333, 0.6667, 0.5000) [2 per cell]


Record 3
Computed powder XRD pattern
Compound: DySi3NiRu
Radiation: Cu Ka
Structure: a PBE-relaxed structure
Lines closer than 0.1° are merged.

Top 12 peaks for 5 to 70 degrees two-theta, by angle:
2theta	I/Imax	index
21.21	11	0 2 1
25.42	32	1 3 0
27.76	13	0 4 0
29.33	45	2 0 0
30.21	100	1 3 1
32.43	32	0 0 2
41.65	27	1 3 2
44.29	48	2 0 2
45.41	31	0 6 1
52.57	21	3 3 1
54.98	34	2 6 1
56.48	17	1 3 3

Structure:
a b c (Å): 6.090 12.854 5.521
angles (deg): 90.00 90.00 90.00
Space group Cmcm (No. 63)
Symmetry-distinct sites (fractional):
Dy (0.000, 0.215, 0.250) [4 per cell]
Si (0.000, 0.278, 0.750) [4 per cell]
Si (0.198, 0.000, 0.000) [8 per cell]
Ni (0.000, 0.111, 0.750) [4 per cell]
Ru (0.000, 0.450, 0.750) [4 per cell]


Record 4
Computed powder XRD pattern
Compound: Li9Mg2Cd
Radiation: Cu Ka
Structure: a PBE-relaxed structure
Lines closer than 0.1° are merged.

Top 12 peaks for 5 to 70 degrees two-theta, by angle:
2theta	I/Imax	index
9.81	61	0 0 1
18.54	57	1 1 0
19.69	51	0 0 2
20.60	100	1 1 -1
21.00	35	2 0 -1
21.41	66	1 1 1
22.56	41	2 0 1
27.80	35	1 1 2
33.44	52	3 1 0
34.50	44	1 1 -3
37.72	66	3 1 -2
39.39	32	2 2 1

Structure:
a b c (Å): 9.182 5.618 9.052
angles (deg): 90.00 95.03 90.00
Space group C2/m (No. 12)
Symmetry-distinct sites (fractional):
Li (0.000, 0.000, 0.000) [2 per cell]
Li (0.079, 0.256, 0.755) [8 per cell]
Li (0.167, 0.500, 0.431) [4 per cell]
Li (0.177, 0.000, 0.259) [4 per cell]
Mg (0.169, 0.500, 0.059) [4 per cell]
Cd (0.000, 0.000, 0.500) [2 per cell]


Record 5
Computed powder XRD pattern
Compound: RbHoTeO4
Radiation: Cu Ka
Structure: a PBE-relaxed structure
Lines closer than 0.1° are merged.

Top 12 peaks for 5 to 70 degrees two-theta, by angle:
2theta	I/Imax	index
11.54	93	0 0 1
18.55	38	0 1 1
24.10	24	1 0 -2
26.35	100	1 1 1
27.45	36	0 1 2
28.23	74	1 1 -2
29.19	68	0 2 0
30.32	30	2 0 -1
33.75	31	2 1 -1
34.81	27	2 1 0
37.32	23	1 1 -3
42.60	45	1 0 3

Structure:
a b c (Å): 5.922 6.119 7.987
angles (deg): 90.00 106.19 90.00
Space group P2_1/m (No. 11)
Symmetry-distinct sites (fractional):
Rb (0.096, 0.250, 0.142) [2 per cell]
Ho (0.161, 0.750, 0.462) [2 per cell]
Te (0.412, 0.250, 0.733) [2 per cell]
O (0.165, 0.014, 0.659) [4 per cell]
O (0.225, 0.750, 0.201) [2 per cell]
O (0.441, 0.250, 0.499) [2 per cell]


Record 6
Computed powder XRD pattern
Compound: Li2Cu5F12
Radiation: Cu Ka
Structure: a PBE-relaxed structure
Lines closer than 0.1° are merged.

Top 12 peaks for 5 to 70 degrees two-theta, by angle:
2theta	I/Imax	index
9.97	19	0 1 0
24.92	98	0 0 2
25.02	100	2 0 -2
35.17	70	1 3 -2
39.60	32	2 3 -2
50.78	26	1 3 2
50.91	62	1 3 -4
51.08	43	0 0 4
51.35	18	4 0 -4
63.46	26	3 3 0
63.88	21	3 3 -6
68.70	20	2 6 -2

Structure:
a b c (Å): 7.117 8.875 10.047
angles (deg): 90.00 134.66 90.00
Space group P2/c (No. 13)
Symmetry-distinct sites (fractional):
Li (0.000, 0.000, 0.000) [2 per cell]
Li (0.500, 0.113, 0.250) [2 per cell]
Cu (0.001, 0.331, 0.499) [4 per cell]
Cu (0.485, 0.168, 0.974) [4 per cell]
Cu (0.500, 0.500, 0.000) [2 per cell]
F (0.178, 0.500, 0.180) [4 per cell]
F (0.181, 0.170, 0.678) [4 per cell]
F (0.195, 0.171, 0.187) [4 per cell]
F (0.321, 0.338, 0.508) [4 per cell]
F (0.325, 0.329, 0.003) [4 per cell]
F (0.338, 0.007, 0.023) [4 per cell]